Theoretical powder XRD pattern
Compound: K2CuAsF6
Radiation: copper Kα
Structure: the GGA-PBE geometry in the Materials Project
Kinematic intensities with the Lorentz-polarization factor, no thermal factor.

Main lines, in order of rising 2θ (10 to 90 degrees two-theta):
(2 0 0), 4.287 Å, 20.72°, I 37
(2 2 0), 3.031 Å, 29.47°, I 100
(4 0 0), 2.144 Å, 42.16°, I 60
(4 2 0), 1.917 Å, 47.42°, I 16
(4 2 2), 1.750 Å, 52.27°, I 38
(4 4 0), 1.516 Å, 61.14°, I 34
(6 0 0), 1.429 Å, 65.30°, I 7
(6 2 0), 1.356 Å, 69.31°, I 16
(4 4 4), 1.238 Å, 77.06°, I 10
(6 4 2), 1.146 Å, 84.57°, I 19

Atomic structure:
```
data_K2CuAsF6
_chemical_formula_sum 'K8 Cu4 As4 F24'
_cell_length_a 8.574
_cell_length_b 8.574
_cell_length_c 8.574
_cell_angle_alpha 90.00
_cell_angle_beta 90.00
_cell_angle_gamma 90.00
_symmetry_space_group_name_H-M 'F m -3 m'
_symmetry_Int_Tables_number 225
_symmetry_space_group_name_Hall '-F 4 2 3'
loop_
_atom_site_label
_atom_site_type_symbol
_atom_site_fract_x
_atom_site_fract_y
_atom_site_fract_z
K1 K 0.250 0.250 0.250
Cu1 Cu 0.000 0.000 0.000
As1 As 0.000 0.000 0.500
F1 F 0.000 0.000 0.257
```